Computed powder diffraction line list
Compound: BaDy5Te8
Radiation: Cu Ka
Structure: a crystal structure in Alexandria, relaxed with GGA-PBE
Neutral-atom scattering factors, no anomalous dispersion.

The 12 most intense peaks (2θ from 10° to 80°), by angle:
11.7 deg, d = 7.550 Å, I 19
19.2 deg, d = 4.623 Å, I 18
22.6 deg, d = 3.943 Å, I 59
27.3 deg, d = 3.269 Å, I 65
35.7 deg, d = 2.517 Å, I 47
39.0 deg, d = 2.312 Å, I 100
48.2 deg, d = 1.887 Å, I 16
53.9 deg, d = 1.702 Å, I 15
56.3 deg, d = 1.635 Å, I 15
63.6 deg, d = 1.462 Å, I 17
70.6 deg, d = 1.335 Å, I 28
75.2 deg, d = 1.264 Å, I 16

```
BaDy5Te8
1.0
0.0000 6.5384 6.5384
6.5384 0.0000 6.5384
6.5384 6.5384 0.0000
Ba Dy Te
1 5 8
direct
0.0000 0.0000 0.0000
0.3741 0.3741 0.3741
0.3741 0.3741 0.8777
0.3741 0.8777 0.3741
0.7500 0.7500 0.7500
0.8777 0.3741 0.3741
0.1419 0.1419 0.1419
0.1419 0.1419 0.5743
0.1419 0.5743 0.1419
0.1470 0.6177 0.6177
0.5743 0.1419 0.1419
0.6177 0.1470 0.6177
0.6177 0.6177 0.1470
0.6177 0.6177 0.6177
```

***

Computed powder diffraction line list
Compound: PuU3Se4
Radiation: Cu Ka
Structure: a crystal structure in Alexandria, relaxed with GGA-PBE
Neutral-atom scattering factors, no anomalous dispersion.

The 12 most intense peaks (2θ from 10° to 80°), by angle:
25.0 deg, d = 3.568 Å, I 13
27.6 deg, d = 3.232 Å, I 21
31.2 deg, d = 2.868 Å, I 100
42.9 deg, d = 2.108 Å, I 14
43.1 deg, d = 2.099 Å, I 28
46.2 deg, d = 1.964 Å, I 23
46.4 deg, d = 1.956 Å, I 11
57.0 deg, d = 1.616 Å, I 12
65.0 deg, d = 1.434 Å, I 13
71.6 deg, d = 1.318 Å, I 13
76.2 deg, d = 1.250 Å, I 11
76.5 deg, d = 1.246 Å, I 11

```
PuU3Se4
1.0
6.8128 0.0000 0.0000
0.0000 3.9115 0.0000
-2.2426 0.0000 7.1352
Pu U Se
1 3 4
direct
0.0000 0.0000 0.0000
0.0000 0.5000 0.5000
0.5000 0.0000 0.5000
0.5000 0.5000 0.0000
0.2499 0.0000 0.7504
0.2502 0.5000 0.2492
0.7501 0.0000 0.2496
0.7498 0.5000 0.7508
```

***

Computed powder diffraction line list
Compound: Tb3Dy4Th5
Radiation: Cu Ka
Structure: a crystal structure in Alexandria, relaxed with GGA-PBE
Neutral-atom scattering factors, no anomalous dispersion.

The 12 most intense peaks (2θ from 10° to 80°), by angle:
28.5 deg, d = 3.127 Å, I 14
28.7 deg, d = 3.114 Å, I 21
30.8 deg, d = 2.903 Å, I 47
31.3 deg, d = 2.861 Å, I 26
31.5 deg, d = 2.840 Å, I 100
33.9 deg, d = 2.644 Å, I 19
34.0 deg, d = 2.633 Å, I 15
44.5 deg, d = 2.038 Å, I 20
44.7 deg, d = 2.029 Å, I 19
52.4 deg, d = 1.747 Å, I 10
55.2 deg, d = 1.664 Å, I 16
62.0 deg, d = 1.497 Å, I 12

```
Tb3Dy4Th5
1.0
4.9195 -2.9030 0.0000
4.9195 2.9030 0.0000
-4.7983 0.0000 13.9780
Tb Dy Th
3 4 5
direct
0.0000 0.0000 0.0000
0.4549 0.4549 0.7525
0.5451 0.5451 0.2475
0.1760 0.1760 0.8584
0.2047 0.2047 0.2455
0.7953 0.7953 0.7545
0.8240 0.8240 0.1416
0.0617 0.0617 0.6242
0.3315 0.3315 0.4996
0.5000 0.5000 0.0000
0.6685 0.6685 0.5004
0.9383 0.9383 0.3758
```

***

Computed powder diffraction line list
Compound: NaPmBr4
Radiation: Cu Ka
Structure: a crystal structure in Alexandria, relaxed with GGA-PBE
Neutral-atom scattering factors, no anomalous dispersion.

The 12 most intense peaks (2θ from 10° to 80°), by angle:
11.7 deg, d = 7.588 Å, I 44
12.7 deg, d = 6.944 Å, I 76
24.2 deg, d = 3.682 Å, I 14
25.9 deg, d = 3.441 Å, I 43
27.3 deg, d = 3.262 Å, I 100
33.6 deg, d = 2.664 Å, I 27
35.8 deg, d = 2.507 Å, I 39
41.3 deg, d = 2.186 Å, I 37
41.6 deg, d = 2.172 Å, I 22
42.5 deg, d = 2.125 Å, I 15
45.2 deg, d = 2.007 Å, I 30
49.6 deg, d = 1.837 Å, I 14

```
NaPmBr4
1.0
6.9640 0.0000 0.0000
0.0000 4.3436 0.0000
-0.5785 0.0000 7.5882
Na Pm Br
1 1 4
direct
0.0000 0.0000 0.0000
0.0000 0.5000 0.5000
0.2143 0.5000 0.1967
0.2356 0.0000 0.6609
0.7644 0.0000 0.3391
0.7857 0.5000 0.8033
```